# Ti3Ga
Computed powder diffraction line list, λ = 1.5418 Å (Cu Kα). Input: a PBE-relaxed structure.
Intensities are scaled so that the largest is 100.

Main lines, sorted by position (10 to 80 degrees two-theta):
2θ = 36.04°, d = 2.492 Å, I 23; 2θ = 36.73°, d = 2.447 Å, I 14; 2θ = 38.49°, d = 2.339 Å, I 38; 2θ = 41.03°, d = 2.200 Å, I 100; 2θ = 41.65°, d = 2.168 Å, I 43; 2θ = 53.74°, d = 1.706 Å, I 13; 2θ = 65.69°, d = 1.421 Å, I 14; 2θ = 71.34°, d = 1.322 Å, I 18; 2θ = 78.79°, d = 1.215 Å, I 17; 2θ = 79.62°, d = 1.204 Å, I 11

Structure:
abc: 2.8959 9.3567 4.8942
angles: 90.00 90.00 90.00
Fractional positions:
1 Ti 0.0000 0.0000 0.0000
2 Ti 0.0000 0.2404 0.3541
3 Ti 0.0000 0.7596 0.3541
4 Ti 0.5000 0.2596 0.8541
5 Ti 0.5000 0.5000 0.5000
6 Ti 0.5000 0.7404 0.8541
7 Ga 0.0000 0.5000 0.0210
8 Ga 0.5000 0.0000 0.5210

---

# Ti8Ga
Computed powder diffraction line list, λ = 1.5418 Å (Cu Kα). Input: a PBE-relaxed structure.
Intensities are scaled so that the largest is 100.

Main lines, sorted by position (10 to 80 degrees two-theta):
2θ = 14.30°, d = 6.196 Å, I 2; 2θ = 20.27°, d = 4.381 Å, I 1; 2θ = 32.14°, d = 2.785 Å, I 1; 2θ = 38.29°, d = 2.350 Å, I 100; 2θ = 43.84°, d = 2.065 Å, I 33; 2θ = 45.83°, d = 1.980 Å, I 14; 2θ = 63.73°, d = 1.460 Å, I 10; 2θ = 65.28°, d = 1.429 Å, I 18; 2θ = 76.85°, d = 1.240 Å, I 22; 2θ = 79.72°, d = 1.203 Å, I 10

Structure:
abc: 6.5042 6.5042 6.5042
angles: 95.32 95.32 144.55
Fractional positions:
1 Ti 0.0000 0.3334 0.3334
2 Ti 0.0000 0.6666 0.6666
3 Ti 0.3334 0.0000 0.3334
4 Ti 0.3344 0.3344 0.6689
5 Ti 0.3344 0.6656 0.0000
6 Ti 0.6656 0.3344 0.0000
7 Ti 0.6656 0.6656 0.3311
8 Ti 0.6666 0.0000 0.6666
9 Ga 0.0000 0.0000 0.0000

---

# Ti7Ga2
Computed powder diffraction line list, λ = 1.5418 Å (Cu Kα). Input: a PBE-relaxed structure.
Intensities are scaled so that the largest is 100.

Main lines, sorted by position (10 to 80 degrees two-theta):
2θ = 25.11°, d = 3.546 Å, I 6; 2θ = 31.75°, d = 2.818 Å, I 8; 2θ = 39.42°, d = 2.286 Å, I 90; 2θ = 39.97°, d = 2.256 Å, I 100; 2θ = 51.92°, d = 1.761 Å, I 12; 2θ = 57.40°, d = 1.605 Å, I 27; 2θ = 66.33°, d = 1.409 Å, I 5; 2θ = 71.12°, d = 1.326 Å, I 5; 2θ = 72.23°, d = 1.308 Å, I 26; 2θ = 72.60°, d = 1.302 Å, I 15

Structure:
abc: 4.5110 4.5110 8.4553
angles: 90.00 90.00 120.00
Fractional positions:
1 Ti 0.0000 0.0000 0.0000
2 Ti 0.0000 0.0000 0.3340
3 Ti 0.0000 0.0000 0.6660
4 Ti 0.3333 0.6667 0.1780
5 Ti 0.3333 0.6667 0.5257
6 Ti 0.6667 0.3333 0.4743
7 Ti 0.6667 0.3333 0.8220
8 Ga 0.3333 0.6667 0.8506
9 Ga 0.6667 0.3333 0.1494

---

# TiGa
Computed powder diffraction line list, λ = 1.5418 Å (Cu Kα). Input: a PBE-relaxed structure.
Intensities are scaled so that the largest is 100.

Main lines, sorted by position (10 to 80 degrees two-theta):
2θ = 25.89°, d = 3.441 Å, I 13; 2θ = 35.73°, d = 2.513 Å, I 44; 2θ = 36.92°, d = 2.434 Å, I 42; 2θ = 38.69°, d = 2.327 Å, I 15; 2θ = 39.84°, d = 2.263 Å, I 100; 2θ = 40.92°, d = 2.206 Å, I 47; 2θ = 43.08°, d = 2.100 Å, I 41; 2θ = 44.66°, d = 2.029 Å, I 66; 2θ = 48.09°, d = 1.892 Å, I 25; 2θ = 67.74°, d = 1.383 Å, I 21

Structure:
abc: 5.1962 5.2082 9.7393
angles: 90.00 90.00 90.00
Fractional positions:
1 Ti 0.1171 0.1231 0.2357
2 Ti 0.1477 0.3660 0.5449
3 Ti 0.3523 0.6340 0.0449
4 Ti 0.3829 0.8769 0.7357
5 Ti 0.6171 0.3769 0.7643
6 Ti 0.6477 0.1340 0.4551
7 Ti 0.8523 0.8660 0.9551
8 Ti 0.8829 0.6231 0.2643
9 Ga 0.1255 0.4518 0.8114
10 Ga 0.1490 0.8844 0.4734
11 Ga 0.3510 0.1156 0.9734
12 Ga 0.3745 0.5482 0.3114
13 Ga 0.6255 0.0482 0.1886
14 Ga 0.6490 0.6156 0.5266
15 Ga 0.8510 0.3844 0.0266
16 Ga 0.8745 0.9518 0.6886

---

# Ti5Ga3
Computed powder diffraction line list, λ = 1.5418 Å (Cu Kα). Input: a PBE-relaxed structure.
Intensities are scaled so that the largest is 100.

Main lines, sorted by position (10 to 80 degrees two-theta):
2θ = 36.00°, d = 2.495 Å, I 17; 2θ = 36.40°, d = 2.468 Å, I 32; 2θ = 39.36°, d = 2.289 Å, I 63; 2θ = 40.21°, d = 2.243 Å, I 55; 2θ = 40.58°, d = 2.223 Å, I 100; 2θ = 44.08°, d = 2.054 Å, I 28; 2θ = 51.43°, d = 1.777 Å, I 23; 2θ = 67.82°, d = 1.382 Å, I 20; 2θ = 76.00°, d = 1.252 Å, I 19; 2θ = 77.32°, d = 1.234 Å, I 18

Structure:
abc: 7.6576 7.6576 7.6576
angles: 96.09 96.09 141.97
Fractional positions:
1 Ti 0.0781 0.7771 0.8553
2 Ti 0.2229 0.0781 0.3010
3 Ti 0.2500 0.7500 0.5000
4 Ti 0.2771 0.5781 0.8553
5 Ti 0.4219 0.2771 0.6990
6 Ti 0.5781 0.7229 0.3010
7 Ti 0.7229 0.4219 0.1447
8 Ti 0.7500 0.2500 0.5000
9 Ti 0.7771 0.9219 0.6990
10 Ti 0.9219 0.2229 0.1447
11 Ga 0.1641 0.3359 0.5000
12 Ga 0.2500 0.2500 0.0000
13 Ga 0.3359 0.8359 0.1717
14 Ga 0.6641 0.1641 0.8283
15 Ga 0.7500 0.7500 0.0000
16 Ga 0.8359 0.6641 0.5000

---

# Ti5Ga3
Computed powder diffraction line list, λ = 1.5418 Å (Cu Kα). Input: a PBE-relaxed structure.
Intensities are scaled so that the largest is 100.

Main lines, sorted by position (10 to 80 degrees two-theta):
2θ = 28.88°, d = 3.092 Å, I 17; 2θ = 33.76°, d = 2.655 Å, I 26; 2θ = 36.08°, d = 2.490 Å, I 22; 2θ = 40.00°, d = 2.254 Å, I 100; 2θ = 41.11°, d = 2.196 Å, I 39; 2θ = 41.48°, d = 2.177 Å, I 64; 2θ = 43.79°, d = 2.067 Å, I 13; 2θ = 51.02°, d = 1.790 Å, I 12; 2θ = 53.01°, d = 1.728 Å, I 20; 2θ = 64.60°, d = 1.443 Å, I 22

Structure:
abc: 7.6060 7.6060 5.3106
angles: 90.00 90.00 120.00
Fractional positions:
1 Ti 0.0000 0.2377 0.2500
2 Ti 0.0000 0.7623 0.7500
3 Ti 0.2377 0.0000 0.2500
4 Ti 0.2377 0.2377 0.7500
5 Ti 0.3333 0.6667 0.0000
6 Ti 0.3333 0.6667 0.5000
7 Ti 0.6667 0.3333 0.0000
8 Ti 0.6667 0.3333 0.5000
9 Ti 0.7623 0.0000 0.7500
10 Ti 0.7623 0.7623 0.2500
11 Ga 0.0000 0.3946 0.7500
12 Ga 0.0000 0.6054 0.2500
13 Ga 0.3946 0.0000 0.7500
14 Ga 0.3946 0.3946 0.2500
15 Ga 0.6054 0.0000 0.2500
16 Ga 0.6054 0.6054 0.7500

---

# Ti6Tl2Ga
Computed powder diffraction line list, λ = 1.5418 Å (Cu Kα). Input: a PBE-relaxed structure.
Intensities are scaled so that the largest is 100.

Main lines, sorted by position (10 to 80 degrees two-theta):
2θ = 13.66°, d = 6.483 Å, I 26; 2θ = 23.77°, d = 3.743 Å, I 100; 2θ = 29.27°, d = 3.051 Å, I 42; 2θ = 35.34°, d = 2.540 Å, I 96; 2θ = 36.67°, d = 2.450 Å, I 26; 2θ = 38.05°, d = 2.365 Å, I 65; 2θ = 41.80°, d = 2.161 Å, I 77; 2θ = 45.36°, d = 1.999 Å, I 60; 2θ = 69.64°, d = 1.350 Å, I 33; 2θ = 72.14°, d = 1.309 Å, I 26

Structure:
abc: 7.4861 7.4861 3.4584
angles: 90.00 90.00 120.00
Fractional positions:
1 Ti 0.0000 0.2543 0.0000
2 Ti 0.0000 0.6259 0.5000
3 Ti 0.2543 0.0000 0.0000
4 Ti 0.3741 0.3741 0.5000
5 Ti 0.6259 0.0000 0.5000
6 Ti 0.7457 0.7457 0.0000
7 Tl 0.3333 0.6667 0.0000
8 Tl 0.6667 0.3333 0.0000
9 Ga 0.0000 0.0000 0.5000

---

# Ti9Tl2Ga
Computed powder diffraction line list, λ = 1.5418 Å (Cu Kα). Input: a PBE-relaxed structure.
Intensities are scaled so that the largest is 100.

Main lines, sorted by position (10 to 80 degrees two-theta):
2θ = 21.53°, d = 4.127 Å, I 41; 2θ = 30.63°, d = 2.918 Å, I 35; 2θ = 37.75°, d = 2.383 Å, I 100; 2θ = 43.87°, d = 2.064 Å, I 48; 2θ = 49.38°, d = 1.846 Å, I 20; 2θ = 54.46°, d = 1.685 Å, I 15; 2θ = 63.78°, d = 1.459 Å, I 30; 2θ = 68.16°, d = 1.376 Å, I 9; 2θ = 72.41°, d = 1.305 Å, I 7; 2θ = 76.56°, d = 1.244 Å, I 34

Structure:
abc: 4.1290 4.1290 12.3710
angles: 90.00 90.00 90.00
Fractional positions:
1 Ti 0.0000 0.0000 0.0000
2 Ti 0.0000 0.0000 0.3291
3 Ti 0.0000 0.0000 0.6709
4 Ti 0.0000 0.5000 0.1559
5 Ti 0.0000 0.5000 0.5000
6 Ti 0.0000 0.5000 0.8441
7 Ti 0.5000 0.0000 0.1559
8 Ti 0.5000 0.0000 0.5000
9 Ti 0.5000 0.0000 0.8441
10 Tl 0.5000 0.5000 0.3287
11 Tl 0.5000 0.5000 0.6713
12 Ga 0.5000 0.5000 0.0000

---

What is the formula in the fourth record?
TiGa